Record 1
Diffraction record for Li7Tl4Pd. The powder diffraction line list is simulated, not measured: it uses a GGA-PBE-relaxed structure and a wavelength of 1.5418 Å.
Kinematic intensities with the Lorentz-polarization factor, no thermal factor.

Largest 8 diffraction maxima, in order of falling intensity, 10 to 80 degrees two-theta:
- 2θ 29.1, rel. 100.0, (1 1 -2)
- 2θ 28.6, rel. 82.2, (4 0 -2)
- 2θ 37.9, rel. 72.5, (4 0 1)
- 2θ 19.3, rel. 71.2, (1 1 0)
- 2θ 36.0, rel. 42.6, (0 2 0)
- 2θ 35.6, rel. 38.4, (3 1 1)
- 2θ 25.0, rel. 27.8, (1 1 1)
- 2θ 51.2, rel. 27.6, (5 1 -4)

Atomic structure:
Unit cell a=13.625 b=4.994 c=7.956 alpha=90.00 beta=118.45 gamma=90.00
Space group C2/m (No. 12)
Symmetry-distinct sites (fractional):
Li1 0.000 0.000 0.000 x2
Li2 0.066 0.500 0.392 x4
Li3 0.194 0.500 0.868 x4
Li4 0.206 0.500 0.219 x4
Tl1 0.078 0.000 0.730 x4
Tl2 0.181 0.000 0.360 x4
Pd1 0.000 0.500 0.000 x2

Record 2
Diffraction record for PmSm12Er6. The powder diffraction line list is simulated, not measured: it uses a GGA-PBE-relaxed structure and a wavelength of 1.5418 Å.
Kinematic intensities with the Lorentz-polarization factor, no thermal factor.

Largest 8 diffraction maxima, in order of falling intensity, 10 to 80 degrees two-theta:
- 2θ 31.8, rel. 100.0, (4 0 1)
- 2θ 31.5, rel. 70.4, (0 3 3)
- 2θ 31.3, rel. 58.2, (3 1 2)
- 2θ 29.3, rel. 51.7, (1 0 4)
- 2θ 34.2, rel. 35.9, (0 4 2)
- 2θ 34.6, rel. 32.7, (3 2 1)
- 2θ 34.3, rel. 32.1, (2 2 3)
- 2θ 56.6, rel. 28.0, (4 3 4)

Atomic structure:
Unit cell a=13.3209 b=13.3209 c=12.6430 alpha=90.00 beta=90.00 gamma=120.00
Space group R-3m (No. 166, hexagonal axes)
Symmetry-distinct sites (fractional):
Pm1 0.0000 0.0000 0.0000 x3
Sm1 0.0000 0.2585 0.5000 x18
Sm2 0.0908 0.1816 0.2641 x18
Er1 0.0413 0.5206 0.6203 x18

Record 3
Diffraction record for Mn2GaTe2. The powder diffraction line list is simulated, not measured: it uses a GGA-PBE-relaxed structure and a wavelength of 1.5418 Å.
Kinematic intensities with the Lorentz-polarization factor, no thermal factor.

Largest 8 diffraction maxima, in order of falling intensity, 10 to 80 degrees two-theta:
- 2θ 29.8, rel. 100.0, (1 1 1)
- 2θ 32.4, rel. 91.4, (2 0 0)
- 2θ 51.2, rel. 48.5, (2 0 2)
- 2θ 19.0, rel. 39.1, (0 0 1)
- 2θ 46.5, rel. 32.6, (2 2 0)
- 2θ 56.3, rel. 31.6, (3 1 1)
- 2θ 38.6, rel. 28.3, (0 0 2)
- 2θ 37.9, rel. 27.8, (2 0 1)

Atomic structure:
Unit cell a=5.521 b=5.521 c=4.670 alpha=90.00 beta=90.00 gamma=90.00
Space group P4/mmm (No. 123)
Symmetry-distinct sites (fractional):
Mn1 0.000 0.000 0.000 x1
Mn2 0.500 0.500 0.000 x1
Ga1 0.000 0.000 0.500 x1
Te1 0.000 0.500 0.500 x2

Record 4
Diffraction record for MgMnRh. The powder diffraction line list is simulated, not measured: it uses a GGA-PBE-relaxed structure and a wavelength of 1.5418 Å.
Kinematic intensities with the Lorentz-polarization factor, no thermal factor.

Largest 8 diffraction maxima, in order of falling intensity, 10 to 80 degrees two-theta:
- 2θ 36.8, rel. 100.0, (1 2 1)
- 2θ 38.0, rel. 77.8, (1 1 2)
- 2θ 18.3, rel. 71.4, (0 1 1)
- 2θ 26.1, rel. 70.6, (1 1 0)
- 2θ 43.1, rel. 56.4, (0 1 3)
- 2θ 44.6, rel. 55.6, (1 3 0)
- 2θ 54.5, rel. 49.9, (1 2 3)
- 2θ 46.9, rel. 42.3, (2 0 0)

Atomic structure:
Unit cell a=3.874 b=7.167 c=6.579 alpha=90.00 beta=90.00 gamma=90.00
Space group Ima2 (No. 46)
Symmetry-distinct sites (fractional):
Mg1 0.250 0.173 0.000 x4
Mn1 0.250 0.578 0.169 x4
Rh1 0.250 0.620 0.810 x4

Record 5
Diffraction record for Pm2Cu5Pt5. The powder diffraction line list is simulated, not measured: it uses a GGA-PBE-relaxed structure and a wavelength of 1.5418 Å.
Kinematic intensities with the Lorentz-polarization factor, no thermal factor.

Largest 8 diffraction maxima, in order of falling intensity, 10 to 80 degrees two-theta:
- 2θ 40.1, rel. 100.0, (1 1 3)
- 2θ 41.5, rel. 33.5, (2 0 0)
- 2θ 40.8, rel. 31.9, (1 2 0)
- 2θ 34.1, rel. 28.1, (0 1 3)
- 2θ 66.1, rel. 23.2, (1 3 3)
- 2θ 34.9, rel. 22.9, (0 2 0)
- 2θ 20.4, rel. 21.6, (1 0 0)
- 2θ 19.8, rel. 18.8, (0 1 1)

Atomic structure:
Unit cell a=4.353 b=5.142 c=9.174 alpha=90.00 beta=90.00 gamma=90.00
Space group Pmmm (No. 47)
Symmetry-distinct sites (fractional):
Pm1 0.000 0.000 0.000 x1
Pm2 0.000 0.500 0.500 x1
Cu1 0.500 0.000 0.500 x1
Cu2 0.500 0.250 0.256 x4
Pt1 0.000 0.000 0.334 x2
Pt2 0.000 0.500 0.176 x2
Pt3 0.500 0.500 0.000 x1

Record 6
Diffraction record for Tb2H2SeS. The powder diffraction line list is simulated, not measured: it uses a GGA-PBE-relaxed structure and a wavelength of 1.5418 Å.
Kinematic intensities with the Lorentz-polarization factor, no thermal factor.

Largest 8 diffraction maxima, in order of falling intensity, 10 to 80 degrees two-theta:
- 2θ 29.4, rel. 100.0, (1 0 1)
- 2θ 35.9, rel. 57.8, (0 1 2)
- 2θ 47.6, rel. 42.5, (1 1 0)
- 2θ 44.9, rel. 29.8, (0 1 3)
- 2θ 69.6, rel. 19.6, (1 1 4)
- 2θ 67.5, rel. 18.4, (1 0 5)
- 2θ 56.9, rel. 15.9, (0 2 1)
- 2θ 23.3, rel. 15.8, (0 0 2)

Atomic structure:
Unit cell a=3.8239 b=3.8239 c=7.6372 alpha=90.00 beta=90.00 gamma=120.00
Space group P-3m1 (No. 164)
Symmetry-distinct sites (fractional):
Tb1 0.3333 0.6667 0.2407 x2
H1 0.3333 0.6667 0.7558 x2
Se1 0.0000 0.0000 0.5000 x1
S1 0.0000 0.0000 0.0000 x1

Record 7
Diffraction record for Mg6Hg5. The powder diffraction line list is simulated, not measured: it uses a GGA-PBE-relaxed structure and a wavelength of 1.5418 Å.
Kinematic intensities with the Lorentz-polarization factor, no thermal factor.

Largest 8 diffraction maxima, in order of falling intensity, 10 to 80 degrees two-theta:
- 2θ 36.8, rel. 100.0, (1 2 3)
- 2θ 25.9, rel. 65.2, (1 0 3)
- 2θ 25.7, rel. 33.5, (0 2 0)
- 2θ 66.0, rel. 25.9, (0 4 6)
- 2θ 36.5, rel. 24.8, (0 0 6)
- 2θ 37.4, rel. 24.3, (2 0 0)
- 2θ 67.1, rel. 17.6, (3 2 3)
- 2θ 45.2, rel. 17.4, (0 2 6)

Atomic structure:
Unit cell a=4.813 b=6.920 c=14.769 alpha=90.00 beta=90.00 gamma=90.00
Space group Immm (No. 71)
Symmetry-distinct sites (fractional):
Mg1 0.000 0.244 0.000 x4
Mg2 0.000 0.255 0.339 x8
Hg1 0.000 0.000 0.159 x4
Hg2 0.000 0.000 0.500 x2
Hg3 0.000 0.500 0.171 x4

Record 8
Diffraction record for Sm3GeO2. The powder diffraction line list is simulated, not measured: it uses a GGA-PBE-relaxed structure and a wavelength of 1.5418 Å.
Kinematic intensities with the Lorentz-polarization factor, no thermal factor.

Largest 8 diffraction maxima, in order of falling intensity, 10 to 80 degrees two-theta:
- 2θ 34.1, rel. 100.0, (1 2 1)
- 2θ 29.1, rel. 66.2, (0 3 1)
- 2θ 51.0, rel. 32.5, (1 5 0)
- 2θ 30.6, rel. 29.8, (1 1 1)
- 2θ 39.3, rel. 21.0, (1 1 2)
- 2θ 38.1, rel. 17.0, (0 3 2)
- 2θ 61.7, rel. 16.0, (2 3 1)
- 2θ 53.1, rel. 15.0, (2 0 0)

Atomic structure:
Unit cell a=3.447 b=10.493 c=6.420 alpha=90.00 beta=90.00 gamma=90.00
Space group Pmc2_1 (No. 26)
Symmetry-distinct sites (fractional):
Sm1 0.000 0.094 0.000 x2
Sm2 0.000 0.318 0.631 x2
Sm3 0.500 0.399 0.131 x2
Ge1 0.500 0.142 0.380 x2
O1 0.000 0.497 0.381 x2
O2 0.500 0.241 0.877 x2